# CdIn2Ag8
Computed XRD peak list, a wavelength of 1.5418 Å. Input: a structure optimized by DFT (PBE).
No peak broadening, texture or thermal motion is included.

Largest 8 diffraction maxima, low angle first, 2θ from 10° to 90°:
Position (°2θ)	Rel. int.	index
37.40	100	1 2 3
40.81	22	0 4 0
43.47	13	0 0 6
45.98	14	2 0 0
63.14	10	2 4 0
65.12	10	2 0 6
72.05	13	1 6 3
79.38	10	3 2 3

Crystal structure
abc: 3.948 8.845 12.489
angles: 90.00 90.00 90.00
Space group Immm (No. 71)
One atom of each set of equivalent atoms:
Cd (0.000, 0.000, 0.000)
In (0.000, 0.000, 0.359)
Ag (0.000, 0.248, 0.166)
Ag (0.000, 0.258, 0.500)
Ag (0.000, 0.500, 0.323)



# Cd3InAg
Computed XRD peak list, a wavelength of 1.5418 Å. Input: a structure optimized by DFT (PBE).
No peak broadening, texture or thermal motion is included.

Largest 8 diffraction maxima, low angle first, 2θ from 10° to 90°:
Position (°2θ)	Rel. int.	index
24.62	18	1 1 0
32.26	17	0 0 2
32.84	100	2 0 1
35.38	22	1 0 2
38.02	28	2 1 0
43.58	37	2 0 2
50.48	22	2 2 0
57.90	19	2 0 3

Crystal structure
abc: 7.2312 7.2312 5.5495
angles: 90.00 90.00 120.00
Space group P6_3/mmc (No. 194)
One atom of each set of equivalent atoms:
Cd (0.1959, 0.3919, 0.2500)
In (0.3333, 0.6667, 0.7500)
Ag (0.0000, 0.0000, 0.0000)



# Cd2In2Ag3
Computed XRD peak list, a wavelength of 1.5418 Å. Input: a structure optimized by DFT (PBE).
No peak broadening, texture or thermal motion is included.

Largest 8 diffraction maxima, low angle first, 2θ from 10° to 90°:
Position (°2θ)	Rel. int.	index
37.23	48	1 1 -2
37.42	53	1 -1 0
37.64	48	0 1 3
37.99	47	1 0 3
38.20	100	2 1 1
53.57	16	2 0 -2
54.07	16	0 2 -2
68.03	17	3 0 1

Crystal structure
abc: 4.714 4.715 8.220
angles: 74.72 75.35 61.30
Space group P-1 (No. 2)
One atom of each set of equivalent atoms:
Cd (0.136, 0.139, 0.105)
In (0.388, 0.388, 0.347)
Ag (0.000, 0.000, 0.500)
Ag (0.247, 0.246, 0.742)



# Cd3In2Ag5
Computed XRD peak list, a wavelength of 1.5418 Å. Input: a structure optimized by DFT (PBE).
No peak broadening, texture or thermal motion is included.

Largest 8 diffraction maxima, low angle first, 2θ from 10° to 90°:
Position (°2θ)	Rel. int.	index
32.79	70	0 2 -3
34.70	32	1 -2 2
37.29	100	0 2 2
38.61	60	2 0 2
38.83	52	2 0 -4
39.25	60	0 0 5
42.34	40	2 -2 0
42.50	39	2 2 -2

Crystal structure
abc: 5.857 6.213 12.224
angles: 104.59 103.49 90.22
Space group P-1 (No. 2)
One atom of each set of equivalent atoms:
Cd (0.222, 0.103, 0.430)
Cd (0.250, 0.499, 0.000)
Cd (0.278, 0.679, 0.571)
In (0.099, 0.307, 0.207)
In (0.399, 0.107, 0.796)
Ag (0.073, 0.317, 0.639)
Ag (0.091, 0.828, 0.181)
Ag (0.250, 0.999, 0.000)
Ag (0.412, 0.651, 0.819)
Ag (0.428, 0.675, 0.361)



# KCdIn2Ag2
Computed XRD peak list, a wavelength of 1.5418 Å. Input: a structure optimized by DFT (PBE).
No peak broadening, texture or thermal motion is included.

Largest 8 diffraction maxima, low angle first, 2θ from 10° to 90°:
Position (°2θ)	Rel. int.	index
13.76	100	0 0 1
27.76	28	1 1 1
32.65	91	1 0 2
34.21	100	2 0 0
37.01	75	1 1 2
48.01	59	2 1 2
49.16	34	2 2 0
68.41	24	2 0 4

Crystal structure
abc: 5.242 5.242 6.437
angles: 90.00 90.00 90.00
Space group P4/mmm (No. 123)
One atom of each set of equivalent atoms:
K (0.000, 0.000, 0.000)
Cd (0.000, 0.000, 0.500)
In (0.500, 0.500, 0.245)
Ag (0.000, 0.500, 0.500)



# KCd4InAg2
Computed XRD peak list, a wavelength of 1.5418 Å. Input: a structure optimized by DFT (PBE).
No peak broadening, texture or thermal motion is included.

Largest 8 diffraction maxima, low angle first, 2θ from 10° to 90°:
Position (°2θ)	Rel. int.	index
33.66	100	1 1 0
35.31	73	0 1 8
47.91	14	1 1 9
49.58	27	2 0 8
60.19	17	3 0 0
61.26	27	1 2 8
70.76	11	2 2 0
81.63	12	3 1 8

Crystal structure
abc: 5.3260 5.3260 24.3681
angles: 90.00 90.00 120.00
Space group R-3m (No. 166, hexagonal axes)
One atom of each set of equivalent atoms:
K (0.0000, 0.0000, 0.0000)
Cd (0.0000, 0.0000, 0.1385)
Cd (0.0000, 0.0000, 0.3792)
In (0.0000, 0.0000, 0.5000)
Ag (0.0000, 0.0000, 0.2581)



# K2CdInAg2
Computed XRD peak list, a wavelength of 1.5418 Å. Input: a structure optimized by DFT (PBE).
No peak broadening, texture or thermal motion is included.

Largest 8 diffraction maxima, low angle first, 2θ from 10° to 90°:
Position (°2θ)	Rel. int.	index
12.70	100	0 2 0
21.09	16	1 2 1
30.72	44	1 4 1
33.91	55	2 0 2
34.13	18	2 4 0
36.32	47	2 2 2
44.69	15	3 4 1
48.07	12	1 4 3

Crystal structure
abc: 7.997 13.942 7.047
angles: 90.00 90.00 90.00
Space group Ibam (No. 72)
One atom of each set of equivalent atoms:
K (0.236, 0.179, 0.000)
Cd (0.000, 0.000, 0.250)
In (0.000, 0.500, 0.250)
Ag (0.250, 0.073, 0.500)



# K2Cd3In4Ag
Computed XRD peak list, a wavelength of 1.5418 Å. Input: a structure optimized by DFT (PBE).
No peak broadening, texture or thermal motion is included.

Largest 8 diffraction maxima, low angle first, 2θ from 10° to 90°:
Position (°2θ)	Rel. int.	index
14.88	51	0 0 2
19.21	55	1 0 1
28.69	50	1 0 3
29.32	100	1 1 2
35.83	93	2 0 0
39.53	97	1 1 4
51.57	32	2 2 0
66.87	39	3 1 4

Crystal structure
abc: 5.013 5.013 11.908
angles: 90.00 90.00 90.00
Space group P-4m2 (No. 115)
One atom of each set of equivalent atoms:
K (0.000, 0.500, 0.244)
Cd (0.000, 0.000, 0.000)
Cd (0.000, 0.500, 0.638)
In (0.000, 0.000, 0.500)
In (0.000, 0.500, 0.881)
In (0.500, 0.500, 0.500)
Ag (0.500, 0.500, 0.000)



# KCd6InAg
Computed XRD peak list, a wavelength of 1.5418 Å. Input: a structure optimized by DFT (PBE).
No peak broadening, texture or thermal motion is included.

Largest 8 diffraction maxima, low angle first, 2θ from 10° to 90°:
Position (°2θ)	Rel. int.	index
11.53	56	1 1 0
30.09	37	3 1 -2
30.92	100	0 4 0
32.93	35	4 0 -1
36.50	48	4 2 -1
36.81	35	1 3 2
37.80	79	2 2 2
38.17	44	2 2 -3

Crystal structure
abc: 10.881 11.569 7.839
angles: 90.00 109.53 90.00
Space group C2/m (No. 12)
One atom of each set of equivalent atoms:
K (0.003, 0.000, 0.258)
Cd (0.051, 0.280, 0.703)
Cd (0.153, 0.246, 0.108)
Cd (0.219, 0.500, 0.356)
Cd (0.227, 0.500, 0.868)
In (0.000, 0.500, 0.000)
In (0.000, 0.500, 0.500)
Ag (0.250, 0.250, 0.500)



# La4Cd2InAg
Computed XRD peak list, a wavelength of 1.5418 Å. Input: a structure optimized by DFT (PBE).
No peak broadening, texture or thermal motion is included.

Largest 8 diffraction maxima, low angle first, 2θ from 10° to 90°:
Position (°2θ)	Rel. int.	index
22.73	1	1 0 4
32.36	100	1 1 0
46.42	18	2 0 8
57.72	37	3 0 0
61.25	1	0 1 17
67.75	11	2 2 0
77.09	15	3 1 8
86.10	4	0 4 8

Crystal structure
abc: 5.5313 5.5313 27.1170
angles: 90.00 90.00 120.00
Space group R-3m (No. 166, hexagonal axes)
One atom of each set of equivalent atoms:
La (0.0000, 0.0000, 0.1220)
La (0.0000, 0.0000, 0.3724)
Cd (0.0000, 0.0000, 0.2472)
In (0.0000, 0.0000, 0.5000)
Ag (0.0000, 0.0000, 0.0000)



# MgCd2InAg5
Computed XRD peak list, a wavelength of 1.5418 Å. Input: a structure optimized by DFT (PBE).
No peak broadening, texture or thermal motion is included.

Largest 8 diffraction maxima, low angle first, 2θ from 10° to 90°:
Position (°2θ)	Rel. int.	index
30.43	17	1 1 1
32.59	24	1 1 2
35.94	36	1 1 3
37.00	100	0 6 3
39.88	28	1 5 1
40.21	73	0 0 6
41.61	26	1 5 2
73.16	30	2 6 3

Crystal structure
abc: 3.056 17.346 13.453
angles: 90.00 90.00 90.00
Space group Cmc2_1 (No. 36)
One atom of each set of equivalent atoms:
Mg (0.000, 0.225, 0.000)
Cd (0.000, 0.371, 0.666)
Cd (0.000, 0.380, 0.340)
In (0.000, 0.114, 0.486)
Ag (0.000, 0.028, 0.306)
Ag (0.000, 0.054, 0.005)
Ag (0.000, 0.200, 0.671)
Ag (0.000, 0.213, 0.322)
Ag (0.000, 0.455, 0.147)



# Cd2InAgS4
Computed XRD peak list, a wavelength of 1.5418 Å. Input: a structure optimized by DFT (PBE).
No peak broadening, texture or thermal motion is included.

Largest 8 diffraction maxima, low angle first, 2θ from 10° to 90°:
Position (°2θ)	Rel. int.	index
24.61	100	1 1 -1
26.24	74	4 0 0
27.65	30	0 0 2
27.85	55	1 1 1
28.10	84	4 0 -2
43.26	54	3 1 -3
43.43	28	0 2 0
47.15	28	5 1 1

Crystal structure
abc: 15.277 4.167 7.255
angles: 90.00 117.21 90.00
Space group Cm (No. 8)
One atom of each set of equivalent atoms:
Cd (0.000, 0.000, 0.000)
Cd (0.007, 0.500, 0.525)
In (0.256, 0.000, 0.577)
Ag (0.251, 0.500, 0.101)
S (0.064, 0.500, 0.909)
S (0.070, 0.000, 0.404)
S (0.307, 0.500, 0.807)
S (0.320, 0.000, 0.321)